This entry pairs a crystal structure of TaSe2 with its calculated X-ray diffraction stick pattern. Radiation: Cu Kα. Structure: the GGA-PBE geometry in the Materials Project.
Intensities are scaled so that the largest is 100.

Structural model:
```
TaSe2
1.0
3.499 0.000 0.000
-1.750 3.030 0.000
0.000 0.000 6.822
Ta Se
1 2
Direct
0.000 0.000 0.000 Ta
0.333 0.667 0.243 Se
0.667 0.333 0.757 Se
```

Main lines, sorted by position (10 to 90 degrees two-theta):
12.98°, rel. 99; 32.33°, rel. 100; 39.79°, rel. 76; 50.16°, rel. 32; 52.29°, rel. 29; 54.12°, rel. 16; 62.83°, rel. 15; 67.66°, rel. 16; 78.29°, rel. 18; 86.08°, rel. 13